This entry pairs a crystal structure of YCoSi2Ni with its computed X-ray diffraction stick pattern. Radiation: Cu Kα, 1.54184 Å. Structure: the PBE geometry in OQMD.
Lines closer than 0.1° are merged.

Most intense lines, 2θ from 10° to 90°, by intensity:
d (Å)  2θ (°)  I/Imax  index
2.404  37.41  100  1 1 2
1.960  46.32  43  2 0 0
2.487  36.11  41  1 0 3
1.201  79.87  25  3 1 2
1.540  60.10  18  2 1 3
1.391  67.29  17  1 1 6
3.632  24.51  16  1 0 1
2.413  37.26  14  0 0 4
1.386  67.59  13  2 2 0
1.732  52.86  12  1 0 5
1.522  60.89  12  2 0 4
1.298  72.88  9  2 1 5

Structure:
```
data_YCoSi2Ni
_chemical_formula_sum 'Y2 Co2 Si4 Ni2'
_cell_length_a 3.920
_cell_length_b 3.920
_cell_length_c 9.653
_cell_angle_alpha 90.00
_cell_angle_beta 90.00
_cell_angle_gamma 90.00
_space_group_name_H-M_alt 'I -4 m 2'
_space_group_IT_number 119
_space_group_name_Hall 'I -4 -2'
loop_
_atom_site_label
_atom_site_type_symbol
_atom_site_fract_x
_atom_site_fract_y
_atom_site_fract_z
Y1 Y 0.000 0.000 0.000
Co1 Co 0.000 0.500 0.750
Si1 Si 0.000 0.000 0.373
Ni1 Ni 0.000 0.500 0.250
```



This entry pairs a crystal structure of Y2FeB4Ir4 with its computed X-ray diffraction stick pattern. Radiation: Cu Kα, 1.54184 Å. Structure: the PBE geometry in OQMD.
Lines closer than 0.1° are merged.

Most intense lines, 2θ from 10° to 90°, by intensity:
d (Å)  2θ (°)  I/Imax  index
2.364  38.07  100  2 2 0
2.436  36.90  56  0 2 4
4.722  18.79  54  0 2 0
1.818  50.19  41  0 4 4
1.970  46.07  33  2 0 4
1.513  61.28  25  2 4 4
1.218  78.50  23  2 2 8
2.844  31.46  21  0 0 4
1.364  68.84  13  2 6 0
1.191  80.63  12  4 2 4
2.732  32.78  12  2 0 0
2.958  30.21  10  1 1 3

Structure:
```
data_Y2FeB4Ir4
_chemical_formula_sum 'Y8 Fe4 B16 Ir16'
_cell_length_a 5.464
_cell_length_b 9.444
_cell_length_c 11.375
_cell_angle_alpha 90.00
_cell_angle_beta 90.00
_cell_angle_gamma 90.00
_space_group_name_H-M_alt 'F m m m'
_space_group_IT_number 69
_space_group_name_Hall '-F 2 2'
loop_
_atom_site_label
_atom_site_type_symbol
_atom_site_fract_x
_atom_site_fract_y
_atom_site_fract_z
Y1 Y 0.000 0.000 0.138
Fe1 Fe 0.000 0.000 0.500
B1 B 0.000 0.147 0.370
Ir1 Ir 0.250 0.250 0.000
Ir2 Ir 0.250 0.250 0.250
```